Theoretical powder XRD pattern of Mn7FeCl3O10 for Cu Ka, from a structure optimized by DFT (PBE+U).
Neutral-atom scattering factors, no anomalous dispersion.

Crystal structure
Lattice parameters (Å, degrees): 13.3487 13.3487 13.3487 90.00 90.00 90.00
Space group Fm-3m (No. 225)
One atom of each set of equivalent atoms:
Mn 0.0000 0.0000 0.0000
Mn 0.0000 0.0000 0.5000
Mn 0.0000 0.1757 0.1757
Fe 0.2500 0.2500 0.2500
Cl 0.0000 0.0000 0.3035
O 0.0963 0.2500 0.2500
O 0.1000 0.1000 0.1000

Main lines, in order of rising 2θ (2θ from 10° to 80°):
d [Å]	two_theta	Rel. int.	hkl
7.707	11.48	43	1 1 1
4.025	22.09	42	3 1 1
3.337	26.71	48	4 0 0
2.985	29.94	17	4 2 0
2.725	32.87	17	4 2 2
2.569	34.93	100	3 3 3
2.256	39.96	21	5 3 1
2.225	40.55	32	6 0 0
2.111	42.85	20	6 2 0
2.012	45.05	16	6 2 2
1.573	58.69	72	6 6 0
1.342	70.15	25	9 3 3

Theoretical powder XRD pattern of K2Cr4CdO16 for Cu Ka, from a structure optimized by DFT (PBE+U).
Neutral-atom scattering factors, no anomalous dispersion.

Crystal structure
Lattice parameters (Å, degrees): 6.9025 7.6213 8.0657 88.15 82.07 68.13
Space group P-1 (No. 2)
One atom of each set of equivalent atoms:
K 0.2197 0.2377 0.1668
Cr 0.2082 0.0230 0.6747
Cr 0.2411 0.7039 0.1477
Cd 0.5000 0.5000 0.5000
O 0.0593 0.9288 0.2367
O 0.1374 0.6413 0.0030
O 0.2162 0.1848 0.5334
O 0.2238 0.4267 0.6549
O 0.2885 0.5417 0.2957
O 0.3011 0.8128 0.5849
O 0.3428 0.0316 0.8206
O 0.4572 0.7296 0.0707

Main lines, in order of rising 2θ (2θ from 10° to 80°):
d [Å]	two_theta	Rel. int.	hkl
5.949	14.89	47	1 1 0
4.538	19.56	39	1 1 -1
3.735	23.82	21	1 2 0
3.608	24.68	100	1 0 2
3.509	25.39	25	0 1 -2
3.465	25.71	91	-1 1 1
3.306	26.97	27	1 2 -1
3.209	27.80	31	0 2 1
3.173	28.12	22	2 0 0
2.990	29.88	19	2 1 -1
2.610	34.36	27	1 -2 1
2.103	43.02	27	2 2 3

Theoretical powder XRD pattern of Li4NbFe3O8 for Cu Ka, from a structure optimized by DFT (PBE+U).
Neutral-atom scattering factors, no anomalous dispersion.

Crystal structure
Lattice parameters (Å, degrees): 10.4772 6.0944 6.0830 90.00 124.92 90.00
Space group C2/m (No. 12)
One atom of each set of equivalent atoms:
Li 0.0000 0.0000 0.0000
Li 0.0000 0.5000 0.0000
Li 0.2500 0.2500 0.5000
Nb 0.0000 0.0000 0.5000
Fe 0.0000 0.5000 0.5000
Fe 0.2500 0.2500 0.0000
O 0.0054 0.2440 0.2734
O 0.2345 0.5000 0.7523
O 0.2351 0.0000 0.7272

Main lines, in order of rising 2θ (2θ from 10° to 80°):
d [Å]	two_theta	Rel. int.	hkl
4.979	17.82	8	0 0 1
4.941	17.95	100	2 0 -1
2.601	34.49	50	2 0 1
2.485	36.14	12	2 2 0
2.151	42.00	78	2 2 -2
1.969	46.09	12	4 2 -1
1.654	55.57	10	4 2 -3
1.648	55.77	8	6 0 -1
1.525	60.73	22	0 4 0
1.521	60.92	7	4 0 -4
1.515	61.17	14	6 2 -2
1.456	63.93	11	2 4 -1

Theoretical powder XRD pattern of Ba2MnNbO6 for Cu Ka, from a structure optimized by DFT (PBE+U).
Neutral-atom scattering factors, no anomalous dispersion.

Crystal structure
Lattice parameters (Å, degrees): 5.6828 5.6828 8.6781 90.00 90.00 90.00
Space group I4/mmm (No. 139)
One atom of each set of equivalent atoms:
Ba 0.0000 0.5000 0.2500
Mn 0.0000 0.0000 0.0000
Nb 0.0000 0.0000 0.5000
O 0.0000 0.0000 0.2692
O 0.2459 0.2459 0.0000

Main lines, in order of rising 2θ (2θ from 10° to 80°):
d [Å]	two_theta	Rel. int.	hkl
2.948	30.32	100	1 1 2
2.841	31.49	45	2 0 0
2.377	37.85	16	2 0 2
2.170	41.63	18	0 0 4
2.009	45.13	29	2 2 0
1.724	53.11	20	2 0 4
1.660	55.33	37	3 1 2
1.474	63.06	20	2 2 4
1.421	65.73	9	4 0 0
1.361	69.01	10	1 1 6
1.280	74.08	8	3 3 2
1.271	74.70	8	4 2 0

Theoretical powder XRD pattern of K3CrF6 for Cu Ka, from a structure optimized by DFT (PBE+U).
Neutral-atom scattering factors, no anomalous dispersion.

Crystal structure
Lattice parameters (Å, degrees): 6.7066 6.7102 6.7156 103.20 102.84 102.81
Space group P-1 (No. 2)
One atom of each set of equivalent atoms:
K 0.0000 0.0000 0.0000
K 0.0000 0.5000 0.5000
K 0.5000 0.0000 0.5000
Cr 0.0000 0.0000 0.5000
F 0.0714 0.7894 0.2917
F 0.2117 0.2198 0.4465
F 0.2166 0.9543 0.7208

Main lines, in order of rising 2θ (2θ from 10° to 80°):
d [Å]	two_theta	Rel. int.	hkl
6.261	14.14	100	0 1 0
5.250	16.89	5	0 1 -1
3.131	28.51	14	0 2 0
2.878	31.07	5	1 1 1
2.627	34.13	6	2 0 -2
2.524	35.57	5	1 0 2
2.424	37.09	6	1 2 -2
2.199	41.05	8	1 -3 1
2.089	43.31	7	2 -1 2
2.014	45.01	9	2 2 -2
2.006	45.20	5	-2 2 2
1.565	59.01	4	0 4 0

Theoretical powder XRD pattern of La3SmV2Cr2O12 for Cu Ka, from a structure optimized by DFT (PBE+U).
Neutral-atom scattering factors, no anomalous dispersion.

Crystal structure
Lattice parameters (Å, degrees): 3.9091 7.8855 7.8833 90.00 90.00 90.00
Space group Pmm2 (No. 25)
One atom of each set of equivalent atoms:
La 0.0000 0.0000 0.0000
La 0.0000 0.0000 0.4955
La 0.0000 0.5000 0.9970
Sm 0.0000 0.5000 0.4915
V 0.5000 0.2509 0.7450
Cr 0.5000 0.2507 0.2467
O 0.0000 0.2525 0.2486
O 0.0000 0.2517 0.7444
O 0.5000 0.0000 0.2472
O 0.5000 0.0000 0.7490
O 0.5000 0.2490 0.9986
O 0.5000 0.2554 0.4932
O 0.5000 0.5000 0.2496
O 0.5000 0.5000 0.7387

Main lines, in order of rising 2θ (2θ from 10° to 80°):
d [Å]	two_theta	Rel. int.	hkl
3.942	22.55	19	0 2 0
3.909	22.75	9	1 0 0
2.788	32.11	51	0 2 2
2.776	32.25	100	1 2 0
2.270	39.71	34	1 2 2
1.971	46.05	33	0 4 0
1.955	46.46	16	2 0 0
1.607	57.33	38	1 4 2
1.600	57.60	19	2 2 2
1.394	67.16	10	0 4 4
1.388	67.49	19	2 4 0
1.246	76.44	16	1 6 0

Theoretical powder XRD pattern of K2TlMoF6 for Cu Ka, from a structure optimized by DFT (PBE+U).
Neutral-atom scattering factors, no anomalous dispersion.

Crystal structure
Lattice parameters (Å, degrees): 9.3929 9.3929 9.3929 90.00 90.00 90.00
Space group Fm-3m (No. 225)
One atom of each set of equivalent atoms:
K 0.2500 0.2500 0.2500
Tl 0.0000 0.0000 0.0000
Mo 0.0000 0.0000 0.5000
F 0.0000 0.0000 0.2793

Main lines, in order of rising 2θ (2θ from 10° to 80°):
d [Å]	two_theta	Rel. int.	hkl
5.423	16.35	10	1 1 1
4.696	18.90	64	2 0 0
3.321	26.85	100	2 2 0
2.832	31.59	13	3 1 1
2.348	38.33	38	4 0 0
2.155	41.92	9	3 3 1
2.100	43.07	29	4 2 0
1.917	47.42	40	4 2 2
1.660	55.33	24	4 4 0
1.565	59.00	14	6 0 0
1.485	62.54	20	6 2 0
1.255	75.79	22	6 4 2